For Pm2CdCu2O6, a GGA-PBE-relaxed structure gives the calculated PXRD pattern in this record (copper Kα).

Cell and atoms:
abc: 6.6632 6.6632 6.6632
angles: 51.77 51.77 51.77
Fractional positions:
Pm 0.1988 0.1988 0.1988
Pm 0.8012 0.8012 0.8012
Cd 0.0000 0.0000 0.0000
Cu 0.4240 0.4240 0.4240
Cu 0.5760 0.5760 0.5760
O 0.2024 0.7495 0.7495
O 0.2505 0.2505 0.7976
O 0.2505 0.7976 0.2505
O 0.7495 0.2024 0.7495
O 0.7495 0.7495 0.2024
O 0.7976 0.2505 0.2505

Main lines, in order of falling intensity (2θ = 10–90°):
30.74 deg, I = 100
31.41 deg, I = 82
44.52 deg, I = 41
55.08 deg, I = 37
15.40 deg, I = 21
54.65 deg, I = 19
64.02 deg, I = 17
73.05 deg, I = 14